[1]
# RbHg2BSe4
Theoretical powder diffractogram, Cu Ka. Input: a cell relaxed with GGA-PBE.
Neutral-atom scattering factors, no anomalous dispersion.

The 6 most intense peaks (15° ≤ 2θ ≤ 90°), in order of falling intensity:
2theta, d [Å], I_rel
26.61, 3.349, 100.0
31.99, 2.798, 63.1
28.19, 3.165, 62.2
35.67, 2.517, 46.1
54.23, 1.691, 44.0
17.62, 5.034, 37.0

Structure:
```
8
Lattice="-3.263 3.955 4.486 3.263 -3.955 4.486 3.263 3.955 -4.486" Properties=species:S:1:pos:R:3 pbc="T T T"
Rb 0.000 0.000 0.000
Hg 3.263 0.000 2.892
Hg 0.000 3.955 1.595
B 0.000 0.000 4.486
Se 2.137 2.635 -1.167
Se 1.126 -1.320 5.653
Se 1.126 1.320 3.320
Se 2.137 5.275 1.167
```

[2]
# Rb2HgB9Se9
Theoretical powder diffractogram, Cu Ka. Input: a cell relaxed with GGA-PBE.
Neutral-atom scattering factors, no anomalous dispersion.

The 6 most intense peaks (15° ≤ 2θ ≤ 90°), in order of falling intensity:
2theta, d [Å], I_rel
21.46, 4.141, 100.0
19.89, 4.464, 82.1
27.71, 3.219, 79.4
25.49, 3.494, 77.9
32.31, 2.770, 72.6
26.59, 3.353, 64.4

Structure:
```
42
Lattice="10.083 0.000 0.000 -4.965 9.790 0.000 -0.091 -2.833 11.038" Properties=species:S:1:pos:R:3 pbc="T T T"
Rb 0.147 3.371 0.152
Rb -2.041 6.789 5.426
Rb 7.068 0.169 5.612
Rb 4.880 3.586 10.887
Hg 1.618 1.313 6.471
Hg 3.410 5.644 4.567
B -0.440 3.394 8.736
B 2.095 0.046 3.084
B -1.019 5.975 10.070
B 3.389 -0.046 0.416
B -0.485 8.362 0.701
B 3.884 -2.027 9.993
B 0.773 6.480 2.594
B 0.652 5.519 10.468
B 4.670 0.060 1.640
B 0.357 6.898 9.398
B 4.376 1.438 0.571
B 4.255 0.477 8.445
B 1.143 8.984 1.046
B 5.513 -1.404 10.337
B 1.638 7.003 10.622
B 6.046 0.983 0.969
B 2.932 6.912 7.954
B 5.467 3.564 2.303
Se -0.697 1.737 7.751
Se 0.690 -0.055 4.421
Se -1.966 4.650 8.874
Se 1.526 -0.064 1.192
Se -0.953 6.647 1.659
Se 2.832 -0.871 8.716
Se 1.013 4.969 3.792
Se 1.249 3.777 9.659
Se 4.001 0.152 3.537
Se 1.026 6.806 7.501
Se 3.778 3.180 1.380
Se 4.014 1.988 7.246
Se 2.195 7.829 2.322
Se 5.980 0.310 9.379
Se 3.501 7.022 9.847
Se 6.993 2.308 2.164
Se 4.337 7.012 6.617
Se 5.725 5.220 3.287
```

[3]
# Hg3BSb
Theoretical powder diffractogram, Cu Ka. Input: a cell relaxed with GGA-PBE.
Neutral-atom scattering factors, no anomalous dispersion.

The 6 most intense peaks (15° ≤ 2θ ≤ 90°), in order of falling intensity:
2theta, d [Å], I_rel
32.11, 2.788, 100.0
37.24, 2.414, 53.0
63.95, 1.456, 42.6
53.69, 1.707, 37.2
88.21, 1.108, 18.9
67.16, 1.394, 12.8

Structure:
```
5
Lattice="4.828 0.000 0.000 0.000 4.828 0.000 0.000 0.000 4.828" Properties=species:S:1:pos:R:3 pbc="T T T"
Hg 0.000 0.000 2.414
Hg 0.000 2.414 0.000
Hg 2.414 0.000 0.000
B 0.000 0.000 0.000
Sb 2.414 2.414 2.414
```